Theoretical powder XRD pattern of Ho2AlGa3Ni2 for copper Kα, from a cell relaxed with PBE.
Neutral-atom scattering factors, no anomalous dispersion.

Cell and atoms:
```
Ho2AlGa3Ni2
1.0
5.0360 -2.0429 0.0000
5.0360 2.0429 0.0000
-0.0402 0.0000 6.7422
Ho Al Ga Ni
2 1 3 2
Direct
0.0000 0.0000 0.0000
0.1359 0.1359 0.5046
0.4145 0.4145 0.3082
0.4232 0.4232 0.6991
0.7134 0.7134 0.8065
0.7144 0.7144 0.2003
0.2823 0.2823 0.9993
0.8567 0.8567 0.5034
```

Principal peaks in the range 2θ from 10° to 90°, by angle:
2θ (°), Rel. int.
23.50, 23
26.44, 18
35.66, 100
37.08, 35
37.20, 50
38.07, 26
38.23, 18
44.20, 16
44.34, 32
69.23, 16

---

Theoretical powder XRD pattern of K3Hg for copper Kα, from a cell relaxed with PBE.
Neutral-atom scattering factors, no anomalous dispersion.

Cell and atoms:
```
K3Hg
1.0
-2.9555 2.9555 5.7357
2.9555 -2.9555 5.7357
2.9555 2.9555 -5.7357
K Hg
3 1
Direct
0.0000 0.0000 0.0000
0.2500 0.7500 0.5000
0.7500 0.2500 0.5000
0.5000 0.5000 0.0000
```

Principal peaks in the range 2θ from 10° to 90°, by angle:
2θ (°), Rel. int.
15.45, 19
16.87, 64
21.26, 19
26.38, 100
27.79, 21
30.24, 35
31.19, 16
34.83, 24
44.00, 24
51.42, 30